For Pu3UN6, a structure optimized by DFT (PBE) gives the simulated XRD peak list in this record (copper Kα).
Peak positions follow from Bragg's law for the DFT cell and can differ from measured ones.

Principal peaks in the range 2θ from 15° to 90°, by angle:
d (Å)  2θ/deg  Rel. int.  index
5.395  16.4  26.9  0 0 2
2.914  30.7  75.6  1 0 3
2.871  31.2  100.0  1 1 0
2.535  35.4  23.5  1 1 2
2.045  44.3  31.6  2 0 3
1.966  46.2  28.7  1 1 4
1.666  55.1  32.3  2 1 3
1.658  55.4  24.7  3 0 0

Crystal structure
a b c (Å): 5.7424 5.7424 10.7905
angles (deg): 90.00 90.00 120.00
Positions (direct):
Pu1 0.0000 0.0000 0.0000
Pu2 0.0000 0.0000 0.5000
Pu3 0.3333 0.6667 0.0557
Pu4 0.3333 0.6667 0.4443
Pu5 0.6667 0.3333 0.5557
Pu6 0.6667 0.3333 0.9443
U1 0.3333 0.6667 0.7500
U2 0.6667 0.3333 0.2500
N1 0.0541 0.3678 0.6174
N2 0.0541 0.6863 0.8826
N3 0.3137 0.3678 0.8826
N4 0.3137 0.9459 0.6174
N5 0.3678 0.0541 0.3826
N6 0.3678 0.3137 0.1174
N7 0.6322 0.6863 0.6174
N8 0.6322 0.9459 0.8826
N9 0.6863 0.0541 0.1174
N10 0.6863 0.6322 0.3826
N11 0.9459 0.3137 0.3826
N12 0.9459 0.6322 0.1174